Li4V3Ni3Sn2O16: simulated powder diffractogram (Cu Ka), based on the GGA+U geometry in the Materials Project.

Top 10 peaks for 2θ from 10° to 90°, in order of falling intensity:
2θ (°)	intensity
19.5	100
19.6	63
35.4	56
36.0	36
35.1	35
19.3	35
32.7	30
25.1	30
18.2	25
36.1	25

Structural model:
Cell lengths 5.947, 5.967, 9.732 Å; angles 89.20, 89.91, 60.22 degrees
Positions (direct):
Li 0.000 0.000 0.000
Li 0.002 0.000 0.509
Li 0.341 0.315 0.610
Li 0.671 0.653 0.095
V 0.179 0.169 0.279
V 0.666 0.173 0.284
V 0.829 0.341 0.778
Ni 0.169 0.661 0.285
Ni 0.342 0.826 0.785
Ni 0.831 0.826 0.785
Sn 0.328 0.343 0.995
Sn 0.661 0.678 0.511
O 0.000 0.019 0.191
O 0.039 0.460 0.163
O 0.152 0.173 0.895
O 0.155 0.688 0.906
O 0.319 0.853 0.392
O 0.330 0.305 0.393
O 0.471 0.030 0.162
O 0.498 0.455 0.164
O 0.520 0.959 0.655
O 0.536 0.491 0.655
O 0.674 0.172 0.896
O 0.690 0.618 0.894
O 0.823 0.858 0.392
O 0.840 0.329 0.389
O 0.971 0.493 0.656
O 0.987 0.025 0.695

***

Li4V3Ni2Sn3O16: simulated powder diffractogram (Cu Ka), based on the GGA+U geometry in the Materials Project.

Top 10 peaks for 2θ from 10° to 90°, in order of falling intensity:
2θ (°)	intensity
18.3	100
19.3	64
35.1	61
19.4	42
35.7	32
35.5	32
59.6	28
25.2	27
44.8	26
34.7	22

Structural model:
Cell lengths 6.003, 6.059, 9.700 Å; angles 90.75, 90.12, 119.56 degrees
Positions (direct):
Li 0.000 0.000 0.000
Li 0.000 0.005 0.491
Li 0.318 0.635 0.385
Li 0.654 0.310 0.891
V 0.156 0.316 0.708
V 0.333 0.147 0.208
V 0.803 0.140 0.213
Ni 0.323 0.643 0.985
Ni 0.657 0.311 0.482
Sn 0.157 0.808 0.713
Sn 0.650 0.807 0.713
Sn 0.823 0.642 0.213
O 0.027 0.486 0.833
O 0.150 0.295 0.115
O 0.169 0.837 0.102
O 0.314 0.160 0.606
O 0.315 0.631 0.595
O 0.461 0.488 0.835
O 0.471 0.945 0.842
O 0.496 0.439 0.332
O 0.511 0.015 0.330
O 0.651 0.302 0.097
O 0.669 0.836 0.101
O 0.835 0.670 0.588
O 0.841 0.157 0.605
O 0.947 0.441 0.332
O 0.998 0.995 0.308
O 0.999 0.997 0.816

***

Li4V3Ni2Sn3O16: simulated powder diffractogram (Cu Ka), based on the GGA+U geometry in the Materials Project.

Top 10 peaks for 2θ from 10° to 90°, in order of falling intensity:
2θ (°)	intensity
18.1	100
35.2	64
19.1	63
19.2	53
34.7	32
60.8	31
24.7	28
44.3	26
44.1	26
24.9	24

Structural model:
Cell lengths 6.089, 6.096, 9.786 Å; angles 89.51, 89.84, 60.21 degrees
Positions (direct):
Li 0.000 0.000 0.000
Li 0.003 0.991 0.494
Li 0.350 0.300 0.601
Li 0.685 0.625 0.108
V 0.196 0.130 0.276
V 0.676 0.147 0.284
V 0.844 0.310 0.779
Ni 0.336 0.309 0.007
Ni 0.672 0.638 0.504
Sn 0.177 0.631 0.282
Sn 0.349 0.803 0.780
Sn 0.841 0.804 0.781
O 0.005 0.984 0.676
O 0.007 0.982 0.182
O 0.048 0.447 0.160
O 0.162 0.663 0.902
O 0.163 0.143 0.889
O 0.325 0.819 0.392
O 0.349 0.291 0.393
O 0.478 0.008 0.167
O 0.512 0.426 0.162
O 0.533 0.483 0.659
O 0.534 0.937 0.654
O 0.682 0.627 0.897
O 0.692 0.154 0.888
O 0.831 0.837 0.390
O 0.857 0.290 0.382
O 0.974 0.472 0.663

***

Li2Ni3TeO8: simulated powder diffractogram (Cu Ka), based on the GGA+U geometry in the Materials Project.

Top 10 peaks for 2θ from 10° to 90°, in order of falling intensity:
2θ (°)	intensity
18.3	100
42.9	50
35.4	21
34.9	21
61.6	16
37.2	15
35.4	11
62.9	10
56.8	8
47.4	7

Structural model:
Cell lengths 5.908, 5.908, 10.496 Å; angles 106.36, 106.36, 59.85 degrees
Positions (direct):
Li 0.067 0.569 0.702
Li 0.431 0.933 0.798
Li 0.569 0.067 0.202
Li 0.933 0.431 0.298
Ni 0.000 0.000 0.000
Ni 0.000 0.000 0.500
Ni 0.000 0.500 0.000
Ni 0.500 0.000 0.500
Ni 0.500 0.500 0.000
Ni 0.500 0.500 0.500
Te 0.248 0.752 0.250
Te 0.752 0.248 0.750
O 0.096 0.135 0.872
O 0.126 0.649 0.906
O 0.133 0.643 0.370
O 0.135 0.096 0.372
O 0.351 0.874 0.594
O 0.357 0.867 0.130
O 0.360 0.407 0.130
O 0.407 0.360 0.630
O 0.593 0.640 0.370
O 0.640 0.593 0.870
O 0.643 0.133 0.870
O 0.649 0.126 0.406
O 0.865 0.904 0.628
O 0.867 0.357 0.630
O 0.874 0.351 0.094
O 0.904 0.865 0.128

***

Li3Ni3TeO8: simulated powder diffractogram (Cu Ka), based on the GGA+U geometry in the Materials Project.

Top 10 peaks for 2θ from 10° to 90°, in order of falling intensity:
2θ (°)	intensity
18.0	100
42.5	53
35.1	43
36.7	17
61.9	15
61.6	15
65.0	15
46.5	14
56.1	13
78.0	7

Structural model:
Cell lengths 6.024, 6.024, 6.024 Å; angles 59.74, 59.74, 59.74 degrees
Positions (direct):
Li 0.000 0.500 0.500
Li 0.500 0.000 0.500
Li 0.500 0.500 0.000
Ni 0.000 0.000 0.500
Ni 0.000 0.500 0.000
Ni 0.500 0.000 0.000
Te 0.500 0.500 0.500
O 0.237 0.237 0.237
O 0.266 0.729 0.729
O 0.271 0.271 0.734
O 0.271 0.734 0.271
O 0.729 0.266 0.729
O 0.729 0.729 0.266
O 0.734 0.271 0.271
O 0.763 0.763 0.763

***

What did the fifth record say?
Li3Ni3TeO8: simulated powder diffractogram (Cu Ka), based on the GGA+U geometry in the Materials Project.

Top 10 peaks for 2θ from 10° to 90°, in order of falling intensity:
2θ (°)	intensity
18.0	100
42.5	53
35.1	43
36.7	17
61.9	15
61.6	15
65.0	15
46.5	14
56.1	13
78.0	7

Structural model:
Cell lengths 6.024, 6.024, 6.024 Å; angles 59.74, 59.74, 59.74 degrees
Positions (direct):
Li 0.000 0.500 0.500
Li 0.500 0.000 0.500
Li 0.500 0.500 0.000
Ni 0.000 0.000 0.500
Ni 0.000 0.500 0.000
Ni 0.500 0.000 0.000
Te 0.500 0.500 0.500
O 0.237 0.237 0.237
O 0.266 0.729 0.729
O 0.271 0.271 0.734
O 0.271 0.734 0.271
O 0.729 0.266 0.729
O 0.729 0.729 0.266
O 0.734 0.271 0.271
O 0.763 0.763 0.763